(1)
Starting from the PBE geometry in Alexandria, the X-ray diffraction stick pattern of In12Hg3Te was computed for a wavelength of 1.5418 Å.
Peak positions follow from Bragg's law for the DFT cell and can differ from measured ones.

Largest 10 diffraction maxima, in order of rising 2θ, 10 to 90 degrees two-theta:
| two_theta | I/Imax | index |
| --- | --- | --- |
| 32.37 | 100 | 1 1 4 |
| 36.11 | 18 | 0 0 8 |
| 38.25 | 32 | 2 0 0 |
| 53.62 | 22 | 2 0 8 |
| 55.21 | 11 | 2 2 0 |
| 62.59 | 13 | 1 1 12 |
| 65.47 | 26 | 3 1 4 |
| 67.76 | 11 | 2 2 8 |
| 88.23 | 10 | 3 1 12 |
| 89.04 | 5 | 2 0 16 |

Cell and atoms:
```
data_In12Hg3Te
_chemical_formula_sum 'In12 Hg3 Te1'
_cell_length_a 4.706
_cell_length_b 4.706
_cell_length_c 19.897
_cell_angle_alpha 90.00
_cell_angle_beta 90.00
_cell_angle_gamma 90.00
_space_group_name_H-M_alt 'P 4/m m m'
_space_group_IT_number 123
_space_group_name_Hall '-P 4 2'
loop_
_atom_site_label
_atom_site_type_symbol
_atom_site_fract_x
_atom_site_fract_y
_atom_site_fract_z
_atom_site_occupancy
In1 In 0.000 0.000 0.000 1
In2 In 0.000 0.000 0.243 1
In3 In 0.000 0.000 0.500 1
In4 In 0.000 0.500 0.122 1
In5 In 0.000 0.500 0.368 1
Hg1 Hg 0.500 0.500 0.000 1
Hg2 Hg 0.500 0.500 0.244 1
Te1 Te 0.500 0.500 0.500 1
```

---

(2)
Starting from the PBE geometry in Alexandria, the X-ray diffraction stick pattern of CuOs4Pt was computed for a wavelength of 1.5418 Å.
Peak positions follow from Bragg's law for the DFT cell and can differ from measured ones.

Largest 10 diffraction maxima, in order of rising 2θ, 10 to 90 degrees two-theta:
| two_theta | I/Imax | index |
| --- | --- | --- |
| 21.24 | 25 | 1 1 1 |
| 35.03 | 17 | 2 2 0 |
| 41.33 | 100 | 3 1 1 |
| 43.25 | 53 | 2 2 2 |
| 50.37 | 11 | 4 0 0 |
| 62.83 | 6 | 4 2 2 |
| 67.12 | 32 | 3 3 3 |
| 74.01 | 29 | 4 4 0 |
| 88.48 | 12 | 5 3 3 |
| 89.78 | 21 | 6 2 2 |

Cell and atoms:
```
data_CuOs4Pt
_chemical_formula_sum 'Cu4 Os16 Pt4'
_cell_length_a 7.246
_cell_length_b 7.246
_cell_length_c 7.246
_cell_angle_alpha 90.00
_cell_angle_beta 90.00
_cell_angle_gamma 90.00
_space_group_name_H-M_alt 'F -4 3 m'
_space_group_IT_number 216
_space_group_name_Hall 'F -4 2 3'
loop_
_atom_site_label
_atom_site_type_symbol
_atom_site_fract_x
_atom_site_fract_y
_atom_site_fract_z
_atom_site_occupancy
Cu1 Cu 0.000 0.000 0.000 1
Os1 Os 0.125 0.125 0.625 1
Pt1 Pt 0.250 0.250 0.250 1
```

---

(3)
Starting from the PBE geometry in Alexandria, the X-ray diffraction stick pattern of PaCuAg2Cl8 was computed for a wavelength of 1.5418 Å.
Peak positions follow from Bragg's law for the DFT cell and can differ from measured ones.

Largest 10 diffraction maxima, in order of rising 2θ, 10 to 90 degrees two-theta:
| two_theta | I/Imax | index |
| --- | --- | --- |
| 17.57 | 26 | 0 1 -1 |
| 18.59 | 100 | 1 -1 0 |
| 21.42 | 71 | 1 1 0 |
| 25.61 | 42 | 0 1 -2 |
| 25.84 | 62 | 1 0 -2 |
| 36.95 | 34 | 1 -2 2 |
| 37.46 | 52 | -2 1 2 |
| 40.52 | 31 | 2 1 2 |
| 43.59 | 34 | 2 2 0 |
| 48.22 | 29 | 0 3 2 |

Cell and atoms:
```
data_PaCuAg2Cl8
_chemical_formula_sum 'Pa1 Cu1 Ag2 Cl8'
_cell_length_a 6.236
_cell_length_b 6.417
_cell_length_c 8.313
_cell_angle_alpha 90.06
_cell_angle_beta 90.08
_cell_angle_gamma 97.99
_space_group_name_H-M_alt 'P -1'
_space_group_IT_number 2
loop_
_space_group_symop_operation_xyz
'x,y,z'
'-x,-y,-z'
loop_
_atom_site_label
_atom_site_type_symbol
_atom_site_fract_x
_atom_site_fract_y
_atom_site_fract_z
_atom_site_occupancy
Pa1 Pa 0.000 0.000 0.000 1
Cu1 Cu 0.000 0.000 0.500 1
Ag1 Ag 0.500 0.500 0.281 1
Cl1 Cl 0.214 0.839 0.781 1
Cl2 Cl 0.214 0.840 0.219 1
Cl3 Cl 0.251 0.284 0.500 1
Cl4 Cl 0.278 0.338 0.000 1
```

---

(4)
Starting from the PBE geometry in Alexandria, the X-ray diffraction stick pattern of LaCeIn6 was computed for a wavelength of 1.5418 Å.
Peak positions follow from Bragg's law for the DFT cell and can differ from measured ones.

Largest 10 diffraction maxima, in order of rising 2θ, 10 to 90 degrees two-theta:
| two_theta | I/Imax | index |
| --- | --- | --- |
| 30.04 | 24 | 2 0 0 |
| 34.26 | 23 | 0 0 2 |
| 34.68 | 100 | 2 0 1 |
| 46.19 | 15 | 2 0 2 |
| 53.33 | 18 | 2 2 0 |
| 61.61 | 18 | 2 0 3 |
| 64.93 | 20 | 2 2 2 |
| 65.20 | 14 | 4 0 1 |
| 85.84 | 7 | 4 0 3 |
| 89.05 | 12 | 4 2 1 |

Cell and atoms:
```
data_LaCeIn6
_chemical_formula_sum 'La1 Ce1 In6'
_cell_length_a 6.8708
_cell_length_b 6.8708
_cell_length_c 5.2353
_cell_angle_alpha 90.00
_cell_angle_beta 90.00
_cell_angle_gamma 120.00
_space_group_name_H-M_alt 'P -6 m 2'
_space_group_IT_number 187
_space_group_name_Hall 'P -6 2'
loop_
_atom_site_label
_atom_site_type_symbol
_atom_site_fract_x
_atom_site_fract_y
_atom_site_fract_z
_atom_site_occupancy
La1 La 0.0000 0.0000 0.0000 1
Ce1 Ce 0.6667 0.3333 0.5000 1
In1 In 0.0161 0.5081 0.0000 1
In2 In 0.1774 0.3548 0.5000 1
```

---

(5)
Starting from the PBE geometry in Alexandria, the X-ray diffraction stick pattern of Sn4Ru was computed for a wavelength of 1.5418 Å.
Peak positions follow from Bragg's law for the DFT cell and can differ from measured ones.

Largest 10 diffraction maxima, in order of rising 2θ, 10 to 90 degrees two-theta:
| two_theta | I/Imax | index |
| --- | --- | --- |
| 20.94 | 23 | 1 1 0 |
| 29.79 | 37 | 2 0 0 |
| 34.55 | 100 | 1 1 2 |
| 36.17 | 81 | 2 1 1 |
| 40.75 | 25 | 2 0 2 |
| 42.63 | 30 | 2 2 0 |
| 47.53 | 24 | 3 0 1 |
| 55.99 | 28 | 3 1 2 |
| 65.74 | 26 | 4 1 1 |
| 71.19 | 26 | 3 2 3 |

Cell and atoms:
```
data_Sn4Ru
_chemical_formula_sum 'Sn8 Ru2'
_cell_length_a 5.999
_cell_length_b 5.999
_cell_length_c 6.564
_cell_angle_alpha 90.00
_cell_angle_beta 90.00
_cell_angle_gamma 90.00
_space_group_name_H-M_alt 'P -4 21 c'
_space_group_IT_number 114
loop_
_space_group_symop_operation_xyz
'x,y,z'
'y,-x,-z'
'-x,-y,z'
'-y,x,-z'
'x+1/2,-y+1/2,-z+1/2'
'y+1/2,x+1/2,z+1/2'
'-x+1/2,y+1/2,-z+1/2'
'-y+1/2,-x+1/2,z+1/2'
loop_
_atom_site_label
_atom_site_type_symbol
_atom_site_fract_x
_atom_site_fract_y
_atom_site_fract_z
_atom_site_occupancy
Sn1 Sn 0.198 0.205 0.342 1
Ru1 Ru 0.000 0.000 0.000 1
```

---

(6)
Starting from the PBE geometry in Alexandria, the X-ray diffraction stick pattern of GaPbF5 was computed for a wavelength of 1.5418 Å.
Peak positions follow from Bragg's law for the DFT cell and can differ from measured ones.

Largest 10 diffraction maxima, in order of rising 2θ, 10 to 90 degrees two-theta:
| two_theta | I/Imax | index |
| --- | --- | --- |
| 16.97 | 33 | 2 2 0 |
| 23.70 | 53 | 0 0 2 |
| 24.08 | 38 | 4 0 0 |
| 24.74 | 43 | 2 3 1 |
| 26.98 | 34 | 4 2 0 |
| 27.57 | 100 | 1 4 1 |
| 29.29 | 34 | 2 2 2 |
| 40.90 | 22 | 4 5 1 |
| 42.77 | 32 | 6 3 1 |
| 44.14 | 38 | 4 1 3 |

Cell and atoms:
```
data_GaPbF5
_chemical_formula_sum 'Ga16 Pb16 F80'
_cell_length_a 14.781
_cell_length_b 14.781
_cell_length_c 7.508
_cell_angle_alpha 90.00
_cell_angle_beta 90.00
_cell_angle_gamma 90.00
_space_group_name_H-M_alt 'I 4'
_space_group_IT_number 79
loop_
_space_group_symop_operation_xyz
'x,y,z'
'-y,x,z'
'-x,-y,z'
'y,-x,z'
'x+1/2,y+1/2,z+1/2'
'-y+1/2,x+1/2,z+1/2'
'-x+1/2,-y+1/2,z+1/2'
'y+1/2,-x+1/2,z+1/2'
loop_
_atom_site_label
_atom_site_type_symbol
_atom_site_fract_x
_atom_site_fract_y
_atom_site_fract_z
_atom_site_occupancy
Ga1 Ga 0.000 0.000 0.000 1
Ga2 Ga 0.000 0.000 0.496 1
Ga3 Ga 0.000 0.500 0.247 1
Ga4 Ga 0.166 0.685 0.248 1
Pb1 Pb 0.046 0.772 0.747 1
Pb2 Pb 0.068 0.241 0.247 1
F1 F 0.000 0.000 0.248 1
F2 F 0.000 0.000 0.748 1
F3 F 0.000 0.500 0.497 1
F4 F 0.041 0.122 0.500 1
F5 F 0.041 0.122 0.996 1
F6 F 0.048 0.619 0.247 1
F7 F 0.064 0.614 0.747 1
F8 F 0.098 0.291 0.576 1
F9 F 0.098 0.291 0.920 1
F10 F 0.104 0.756 0.072 1
F11 F 0.104 0.756 0.424 1
F12 F 0.230 0.739 0.748 1
```

---

(7)
Starting from the PBE geometry in Alexandria, the X-ray diffraction stick pattern of PrTm6Al6 was computed for a wavelength of 1.5418 Å.
Peak positions follow from Bragg's law for the DFT cell and can differ from measured ones.

Largest 10 diffraction maxima, in order of rising 2θ, 10 to 90 degrees two-theta:
| two_theta | I/Imax | index |
| --- | --- | --- |
| 16.99 | 27 | 0 0 2 |
| 24.44 | 24 | 1 0 2 |
| 30.44 | 100 | 1 1 0 |
| 31.14 | 36 | 1 0 3 |
| 35.06 | 59 | 1 1 2 |
| 39.41 | 22 | 2 0 2 |
| 40.18 | 18 | 1 1 3 |
| 54.08 | 20 | 3 0 0 |
| 62.00 | 32 | 1 1 6 |
| 63.33 | 18 | 2 2 0 |

Cell and atoms:
```
data_PrTm6Al6
_chemical_formula_sum 'Pr1 Tm6 Al6'
_cell_length_a 5.8739
_cell_length_b 5.8739
_cell_length_c 10.4380
_cell_angle_alpha 90.00
_cell_angle_beta 90.00
_cell_angle_gamma 120.00
_space_group_name_H-M_alt 'P 6/m m m'
_space_group_IT_number 191
_space_group_name_Hall '-P 6 2'
loop_
_atom_site_label
_atom_site_type_symbol
_atom_site_fract_x
_atom_site_fract_y
_atom_site_fract_z
_atom_site_occupancy
Pr1 Pr 0.0000 0.0000 0.0000 1
Tm1 Tm 0.0000 0.0000 0.3375 1
Tm2 Tm 0.3333 0.6667 0.0000 1
Tm3 Tm 0.3333 0.6667 0.5000 1
Al1 Al 0.0000 0.5000 0.2453 1
```

---

(8)
Starting from the PBE geometry in Alexandria, the X-ray diffraction stick pattern of La2YSn2 was computed for a wavelength of 1.5418 Å.
Peak positions follow from Bragg's law for the DFT cell and can differ from measured ones.

Largest 10 diffraction maxima, in order of rising 2θ, 10 to 90 degrees two-theta:
| two_theta | I/Imax | index |
| --- | --- | --- |
| 28.79 | 21 | 2 0 1 |
| 30.81 | 100 | 2 1 1 |
| 34.49 | 30 | 3 1 0 |
| 38.10 | 17 | 0 0 2 |
| 39.53 | 8 | 3 2 0 |
| 44.07 | 9 | 4 0 0 |
| 49.61 | 13 | 4 1 1 |
| 52.33 | 18 | 3 1 2 |
| 64.08 | 14 | 4 4 0 |
| 64.36 | 12 | 2 1 3 |

Cell and atoms:
```
data_La2YSn2
_chemical_formula_sum 'La4 Y2 Sn4'
_cell_length_a 8.223
_cell_length_b 8.223
_cell_length_c 4.724
_cell_angle_alpha 90.00
_cell_angle_beta 90.00
_cell_angle_gamma 90.00
_space_group_name_H-M_alt 'P 4/m b m'
_space_group_IT_number 127
_space_group_name_Hall '-P 4 2ab'
loop_
_atom_site_label
_atom_site_type_symbol
_atom_site_fract_x
_atom_site_fract_y
_atom_site_fract_z
_atom_site_occupancy
La1 La 0.172 0.328 0.000 1
Y1 Y 0.000 0.000 0.500 1
Sn1 Sn 0.129 0.629 0.500 1
```

---

(9)
Starting from the PBE geometry in Alexandria, the X-ray diffraction stick pattern of LiCdRu was computed for a wavelength of 1.5418 Å.
Peak positions follow from Bragg's law for the DFT cell and can differ from measured ones.

Largest 10 diffraction maxima, in order of rising 2θ, 10 to 90 degrees two-theta:
| two_theta | I/Imax | index |
| --- | --- | --- |
| 19.28 | 37 | 0 0 1 |
| 27.20 | 17 | 0 2 1 |
| 29.53 | 30 | 1 1 1 |
| 35.19 | 13 | 1 3 0 |
| 38.55 | 10 | 0 4 0 |
| 39.14 | 30 | 0 0 2 |
| 40.44 | 100 | 1 3 1 |
| 40.61 | 27 | 2 0 0 |
| 71.80 | 17 | 1 3 3 |
| 73.77 | 16 | 3 3 1 |

Cell and atoms:
```
data_LiCdRu
_chemical_formula_sum 'Li4 Cd4 Ru4'
_cell_length_a 4.443
_cell_length_b 9.342
_cell_length_c 4.603
_cell_angle_alpha 90.00
_cell_angle_beta 90.14
_cell_angle_gamma 90.00
_space_group_name_H-M_alt 'C 1 2/m 1'
_space_group_IT_number 12
loop_
_space_group_symop_operation_xyz
'x,y,z'
'-x,-y,-z'
'-x,y,-z'
'x,-y,z'
'x+1/2,y+1/2,z'
'-x+1/2,-y+1/2,-z'
'-x+1/2,y+1/2,-z'
'x+1/2,-y+1/2,z'
loop_
_atom_site_label
_atom_site_type_symbol
_atom_site_fract_x
_atom_site_fract_y
_atom_site_fract_z
_atom_site_occupancy
Li1 Li 0.000 0.183 0.000 1
Cd1 Cd 0.000 0.000 0.500 1
Cd2 Cd 0.000 0.500 0.000 1
Ru1 Ru 0.000 0.309 0.500 1
```

---

(10)
Starting from the PBE geometry in Alexandria, the X-ray diffraction stick pattern of DyHoRu was computed for a wavelength of 1.5418 Å.
Peak positions follow from Bragg's law for the DFT cell and can differ from measured ones.

Largest 10 diffraction maxima, in order of rising 2θ, 10 to 90 degrees two-theta:
| two_theta | I/Imax | index |
| --- | --- | --- |
| 13.66 | 18 | 0 0 2 |
| 27.17 | 22 | 1 0 1 |
| 27.53 | 17 | 0 0 4 |
| 33.59 | 100 | 1 0 3 |
| 37.49 | 58 | 1 1 0 |
| 43.96 | 42 | 1 0 5 |
| 54.07 | 20 | 2 0 0 |
| 65.17 | 29 | 2 1 3 |
| 70.09 | 18 | 1 1 8 |
| 72.14 | 19 | 2 1 5 |

Cell and atoms:
```
data_DyHoRu
_chemical_formula_sum 'Dy2 Ho2 Ru2'
_cell_length_a 3.392
_cell_length_b 3.392
_cell_length_c 12.961
_cell_angle_alpha 90.00
_cell_angle_beta 90.00
_cell_angle_gamma 90.00
_space_group_name_H-M_alt 'I 4 m m'
_space_group_IT_number 107
_space_group_name_Hall 'I 4 -2'
loop_
_atom_site_label
_atom_site_type_symbol
_atom_site_fract_x
_atom_site_fract_y
_atom_site_fract_z
_atom_site_occupancy
Dy1 Dy 0.000 0.000 0.000 1
Ho1 Ho 0.000 0.000 0.746 1
Ru1 Ru 0.000 0.000 0.372 1
```

---

(11)
Starting from the PBE geometry in Alexandria, the X-ray diffraction stick pattern of Ta5Mo3 was computed for a wavelength of 1.5418 Å.
Peak positions follow from Bragg's law for the DFT cell and can differ from measured ones.

Largest 10 diffraction maxima, in order of rising 2θ, 10 to 90 degrees two-theta:
| two_theta | I/Imax | index |
| --- | --- | --- |
| 13.50 | 4 | 0 0 2 |
| 30.78 | 6 | 1 1 2 |
| 39.09 | 100 | 1 1 4 |
| 39.33 | 50 | 2 0 0 |
| 56.11 | 9 | 0 0 8 |
| 56.84 | 17 | 2 2 0 |
| 70.66 | 17 | 2 0 8 |
| 71.15 | 34 | 3 1 4 |
| 84.00 | 11 | 2 2 8 |
| 84.61 | 6 | 4 0 0 |

Cell and atoms:
```
data_Ta5Mo3
_chemical_formula_sum 'Ta10 Mo6'
_cell_length_a 4.582
_cell_length_b 4.582
_cell_length_c 13.113
_cell_angle_alpha 90.00
_cell_angle_beta 90.00
_cell_angle_gamma 90.00
_space_group_name_H-M_alt 'I 4 m m'
_space_group_IT_number 107
_space_group_name_Hall 'I 4 -2'
loop_
_atom_site_label
_atom_site_type_symbol
_atom_site_fract_x
_atom_site_fract_y
_atom_site_fract_z
_atom_site_occupancy
Ta1 Ta 0.000 0.000 0.000 1
Ta2 Ta 0.000 0.000 0.239 1
Ta3 Ta 0.000 0.000 0.741 1
Ta4 Ta 0.000 0.500 0.371 1
Mo1 Mo 0.000 0.000 0.497 1
Mo2 Mo 0.000 0.500 0.118 1
```

---

(12)
Starting from the PBE geometry in Alexandria, the X-ray diffraction stick pattern of SrMg3Au3 was computed for a wavelength of 1.5418 Å.
Peak positions follow from Bragg's law for the DFT cell and can differ from measured ones.

Largest 10 diffraction maxima, in order of rising 2θ, 10 to 90 degrees two-theta:
| two_theta | I/Imax | index |
| --- | --- | --- |
| 11.35 | 60 | 1 0 0 |
| 22.82 | 28 | 2 0 0 |
| 27.55 | 73 | 1 1 1 |
| 30.34 | 25 | 1 2 0 |
| 36.06 | 100 | 1 2 1 |
| 38.63 | 27 | 0 0 2 |
| 46.29 | 38 | 3 1 1 |
| 51.07 | 20 | 2 3 0 |
| 65.83 | 19 | 2 3 2 |
| 68.25 | 23 | 1 2 3 |

Cell and atoms:
```
data_SrMg3Au3
_chemical_formula_sum 'Sr2 Mg6 Au6'
_cell_length_a 9.0014
_cell_length_b 9.0014
_cell_length_c 4.6610
_cell_angle_alpha 90.00
_cell_angle_beta 90.00
_cell_angle_gamma 120.00
_space_group_name_H-M_alt 'P 63/m'
_space_group_IT_number 176
_space_group_name_Hall '-P 6c'
loop_
_atom_site_label
_atom_site_type_symbol
_atom_site_fract_x
_atom_site_fract_y
_atom_site_fract_z
_atom_site_occupancy
Sr1 Sr 0.3333 0.6667 0.2500 1
Mg1 Mg 0.0309 0.2716 0.7500 1
Au1 Au 0.0491 0.6193 0.7500 1
```